Starting from the GGA+U geometry in Alexandria, the powder XRD pattern of Zn2Fe3O8 was computed for copper Kα.
Lines closer than 0.1° are merged.

Principal peaks in the range 2θ from 10° to 80°, low angle first:
- hkl 0 0 2, d 4.673, 19.0 deg, rel. 362
- hkl 1 0 2, d 3.427, 26.0 deg, rel. 741
- hkl 1 0 3, d 2.650, 33.8 deg, rel. 941
- hkl 2 0 0, d 2.520, 35.6 deg, rel. 318
- hkl 1 1 2, d 2.470, 36.4 deg, rel. 1000
- hkl 2 0 1, d 2.433, 36.9 deg, rel. 803
- hkl 2 1 3, d 1.625, 56.6 deg, rel. 525
- hkl 3 0 2, d 1.581, 58.4 deg, rel. 236
- hkl 2 0 5, d 1.501, 61.8 deg, rel. 664
- hkl 2 2 0, d 1.455, 64.0 deg, rel. 544

Atomic structure:
```
Zn2Fe3O8
1.0
5.820 0.000 0.000
-2.910 5.040 0.000
0.000 0.000 9.346
Zn Fe O
4 6 16
Cartesian
0.000 3.360 0.000
0.000 3.360 3.635
2.910 1.680 4.673
2.910 1.680 8.308
0.000 1.655 6.665
-1.477 4.213 6.665
1.433 0.827 1.992
1.477 4.213 6.665
4.387 0.827 1.992
2.910 3.385 1.992
0.000 0.000 2.994
0.000 0.000 7.667
-1.294 2.613 7.770
0.000 1.598 1.052
-1.526 4.241 1.052
1.384 0.799 5.725
0.000 3.360 5.651
1.294 2.613 7.770
0.000 4.854 7.770
2.910 0.186 3.097
1.616 2.427 3.097
2.910 1.680 0.978
1.526 4.241 1.052
4.435 0.799 5.725
2.910 3.442 5.725
4.204 2.427 3.097
```